Entry 1:
For PrSm10Tm6, a DFT-relaxed cell (GGA-PBE, Alexandria) gives the computed powder diffractogram in this record (Cu Kα X-rays).
Intensities are scaled so that the largest is 100.

The 10 most intense peaks (2θ from 10° to 90°), low angle first:
2θ = 30.90°, intensity 38; 2θ = 31.78°, intensity 81; 2θ = 31.92°, intensity 100; 2θ = 40.70°, intensity 11; 2θ = 45.66°, intensity 27; 2θ = 48.84°, intensity 12; 2θ = 56.68°, intensity 26; 2θ = 56.96°, intensity 19; 2θ = 59.45°, intensity 10; 2θ = 62.72°, intensity 11

Atomic structure:
```
PrSm10Tm6
1.0
9.754 0.000 0.000
-4.877 8.448 0.000
0.000 0.000 6.854
Pr Sm Tm
1 10 6
Direct
0.000 0.000 0.000
0.000 0.279 0.680
0.000 0.721 0.320
0.279 0.000 0.680
0.279 0.279 0.320
0.333 0.667 0.000
0.333 0.667 0.500
0.667 0.333 0.000
0.667 0.333 0.500
0.721 0.000 0.320
0.721 0.721 0.680
0.000 0.371 0.188
0.000 0.629 0.812
0.371 0.000 0.188
0.371 0.371 0.812
0.629 0.000 0.812
0.629 0.629 0.188
```

=====

Entry 2:
For PuHf3Zr3, a DFT-relaxed cell (GGA-PBE, Alexandria) gives the computed powder diffractogram in this record (Cu Kα X-rays).
Intensities are scaled so that the largest is 100.

The 10 most intense peaks (2θ from 10° to 90°), low angle first:
2θ = 12.09°, intensity 17; 2θ = 32.36°, intensity 23; 2θ = 34.44°, intensity 26; 2θ = 36.79°, intensity 100; 2θ = 47.98°, intensity 15; 2θ = 57.71°, intensity 18; 2θ = 63.24°, intensity 21; 2θ = 68.97°, intensity 21; 2θ = 70.42°, intensity 15; 2θ = 78.25°, intensity 4

Atomic structure:
```
PuHf3Zr3
1.0
8.452 0.000 0.000
-4.226 7.320 0.000
0.000 0.000 5.208
Pu Hf Zr
2 6 6
Direct
0.333 0.667 0.250
0.667 0.333 0.750
0.093 0.616 0.750
0.384 0.477 0.750
0.477 0.093 0.250
0.523 0.907 0.750
0.616 0.523 0.250
0.907 0.384 0.250
0.047 0.806 0.250
0.194 0.241 0.250
0.241 0.047 0.750
0.759 0.953 0.250
0.806 0.759 0.750
0.953 0.194 0.750
```

=====

Entry 3:
For Al2PbI8, a DFT-relaxed cell (GGA-PBE, Alexandria) gives the computed powder diffractogram in this record (Cu Kα X-rays).
Intensities are scaled so that the largest is 100.

The 10 most intense peaks (2θ from 10° to 90°), low angle first:
2θ = 10.31°, intensity 33; 2θ = 10.87°, intensity 25; 2θ = 24.22°, intensity 27; 2θ = 24.58°, intensity 100; 2θ = 25.02°, intensity 43; 2θ = 25.69°, intensity 33; 2θ = 32.94°, intensity 21; 2θ = 33.46°, intensity 21; 2θ = 35.58°, intensity 17; 2θ = 37.64°, intensity 33

Atomic structure:
```
Al2PbI8
1.0
10.534 -5.047 0.000
10.534 5.047 0.000
-8.814 0.000 10.728
Al Pb I
4 2 16
Direct
0.158 0.661 0.961
0.339 0.842 0.539
0.661 0.158 0.461
0.842 0.339 0.039
0.498 0.502 0.250
0.502 0.498 0.750
0.118 0.191 0.042
0.156 0.646 0.767
0.191 0.118 0.542
0.211 0.665 0.339
0.289 0.381 0.962
0.335 0.789 0.161
0.354 0.844 0.733
0.381 0.289 0.462
0.619 0.711 0.538
0.646 0.156 0.267
0.665 0.211 0.839
0.711 0.619 0.038
0.789 0.335 0.661
0.809 0.882 0.458
0.844 0.354 0.233
0.882 0.809 0.958
```

=====

Entry 4:
For LiCuF4, a DFT-relaxed cell (GGA-PBE, Alexandria) gives the computed powder diffractogram in this record (Cu Kα X-rays).
Intensities are scaled so that the largest is 100.

The 10 most intense peaks (2θ from 10° to 90°), low angle first:
2θ = 17.54°, intensity 60; 2θ = 26.54°, intensity 100; 2θ = 36.72°, intensity 20; 2θ = 40.67°, intensity 13; 2θ = 41.85°, intensity 14; 2θ = 52.01°, intensity 14; 2θ = 53.69°, intensity 11; 2θ = 54.66°, intensity 19; 2θ = 64.64°, intensity 9; 2θ = 69.03°, intensity 9

Atomic structure:
```
LiCuF4
1.0
4.629 0.000 0.000
0.000 5.572 0.000
0.000 0.000 10.111
Li Cu F
4 4 16
Direct
0.000 0.000 0.000
0.000 0.000 0.500
0.500 0.500 0.000
0.500 0.500 0.500
0.000 0.298 0.250
0.000 0.702 0.750
0.500 0.202 0.750
0.500 0.798 0.250
0.185 0.286 0.086
0.185 0.714 0.586
0.243 0.043 0.320
0.243 0.957 0.820
0.257 0.457 0.820
0.257 0.543 0.320
0.315 0.214 0.586
0.315 0.786 0.086
0.685 0.214 0.914
0.685 0.786 0.414
0.743 0.457 0.680
0.743 0.543 0.180
0.757 0.043 0.180
0.757 0.957 0.680
0.815 0.286 0.414
0.815 0.714 0.914
```

=====

Entry 5:
For CaSmAlHg, a DFT-relaxed cell (GGA-PBE, Alexandria) gives the computed powder diffractogram in this record (Cu Kα X-rays).
Intensities are scaled so that the largest is 100.

The 10 most intense peaks (2θ from 10° to 90°), low angle first:
2θ = 20.49°, intensity 52; 2θ = 33.76°, intensity 100; 2θ = 39.81°, intensity 31; 2θ = 48.49°, intensity 18; 2θ = 53.17°, intensity 13; 2θ = 60.39°, intensity 37; 2θ = 64.48°, intensity 10; 2θ = 71.01°, intensity 12; 2θ = 74.80°, intensity 10; 2θ = 80.98°, intensity 16

Atomic structure:
```
CaSmAlHg
1.0
7.509 0.000 0.000
0.000 7.509 0.000
0.000 0.000 7.509
Ca Sm Al Hg
4 4 4 4
Direct
0.000 0.000 0.000
0.000 0.500 0.500
0.500 0.000 0.500
0.500 0.500 0.000
0.000 0.000 0.500
0.000 0.500 0.000
0.500 0.000 0.000
0.500 0.500 0.500
0.250 0.250 0.250
0.250 0.750 0.750
0.750 0.250 0.750
0.750 0.750 0.250
0.250 0.250 0.750
0.250 0.750 0.250
0.750 0.250 0.250
0.750 0.750 0.750
```

=====

Entry 6:
For TaGaCoRh, a DFT-relaxed cell (GGA-PBE, Alexandria) gives the computed powder diffractogram in this record (Cu Kα X-rays).
Intensities are scaled so that the largest is 100.

The 10 most intense peaks (2θ from 10° to 90°), low angle first:
2θ = 25.65°, intensity 25; 2θ = 40.85°, intensity 100; 2θ = 45.66°, intensity 36; 2θ = 51.10°, intensity 13; 2θ = 53.10°, intensity 7; 2θ = 66.56°, intensity 11; 2θ = 70.92°, intensity 19; 2θ = 81.13°, intensity 26; 2θ = 88.52°, intensity 11; 2θ = 89.28°, intensity 11

Atomic structure:
```
TaGaCoRh
1.0
3.974 0.000 0.000
0.000 3.974 0.000
0.000 0.000 7.150
Ta Ga Co Rh
2 2 2 2
Direct
0.000 0.000 0.000
0.500 0.500 0.500
0.000 0.000 0.500
0.500 0.500 0.000
0.000 0.500 0.250
0.500 0.000 0.750
0.000 0.500 0.750
0.500 0.000 0.250
```